Record 1
Theoretical powder diffraction line list of NdZrB2O6 for Cu Kα, 1.54184 Å, from a GGA-PBE-relaxed structure.
Lines closer than 0.1° are merged.

Crystal structure
abc: 4.9749 4.9749 33.5185
angles: 90.00 90.00 120.00
Space group R-3c (No. 167, hexagonal axes)
One atom of each set of equivalent atoms:
Nd 0.0000 0.0000 0.2500 (multiplicity 6)
Zr 0.0000 0.0000 0.0000 (multiplicity 6)
B 0.0000 0.0000 0.1277 (multiplicity 12)
O 0.0210 0.2877 0.1269 (multiplicity 36)

Principal peaks in the range 10° ≤ 2θ ≤ 90°, by angle:
hkl 1 0 4, 3.832 Å, 23.21°, I = 93; hkl 0 1 8, 3.004 Å, 29.74°, I = 100; hkl 1 1 0, 2.487 Å, 36.11°, I = 34; hkl 0 2 4, 2.086 Å, 43.37°, I = 29; hkl 2 0 8, 1.916 Å, 47.46°, I = 18; hkl 1 0 16, 1.884 Å, 48.31°, I = 24; hkl 1 1 12, 1.858 Å, 49.04°, I = 44; hkl 2 1 4, 1.599 Å, 57.67°, I = 23; hkl 1 2 8, 1.518 Å, 61.05°, I = 18; hkl 3 0 0, 1.436 Å, 64.93°, I = 13

---

Record 2
Theoretical powder diffraction line list of NdSmB4Os4 for Cu Kα, 1.54184 Å, from a GGA-PBE-relaxed structure.
Lines closer than 0.1° are merged.

Crystal structure
abc: 6.6413 9.0980 10.0041
angles: 90.00 90.00 90.00
Space group F222 (No. 22)
One atom of each set of equivalent atoms:
Nd 0.0000 0.0000 0.0000 (multiplicity 4)
Sm 0.2500 0.2500 0.7500 (multiplicity 4)
B 0.0000 0.1860 0.5000 (multiplicity 8)
B 0.2500 0.0627 0.2500 (multiplicity 8)
Os 0.0000 0.0000 0.3628 (multiplicity 8)
Os 0.2500 0.2500 0.1132 (multiplicity 8)

Principal peaks in the range 10° ≤ 2θ ≤ 90°, by angle:
hkl 1 1 1, 4.727 Å, 18.77°, I = 17; hkl 1 1 3, 2.832 Å, 31.59°, I = 93; hkl 2 2 0, 2.682 Å, 33.41°, I = 100; hkl 0 4 0, 2.275 Å, 39.62°, I = 33; hkl 1 3 3, 2.126 Å, 42.53°, I = 46; hkl 3 1 3, 1.808 Å, 50.49°, I = 26; hkl 4 0 0, 1.660 Å, 55.33°, I = 13; hkl 3 3 3, 1.576 Å, 58.58°, I = 18; hkl 1 5 3, 1.553 Å, 59.53°, I = 15; hkl 2 6 0, 1.380 Å, 67.95°, I = 17

---

Record 3
Theoretical powder diffraction line list of PrNdB2Pd6Pt2 for Cu Kα, 1.54184 Å, from a GGA-PBE-relaxed structure.
Lines closer than 0.1° are merged.

Crystal structure
abc: 5.4895 5.4895 7.6729
angles: 90.00 90.00 120.00
Space group P6/mmm (No. 191)
One atom of each set of equivalent atoms:
Pr 0.0000 0.0000 0.0000 (multiplicity 1)
Nd 0.0000 0.0000 0.5000 (multiplicity 1)
B 0.3333 0.6667 0.0000 (multiplicity 2)
Pd 0.0000 0.5000 0.1973 (multiplicity 6)
Pt 0.3333 0.6667 0.5000 (multiplicity 2)

Principal peaks in the range 10° ≤ 2θ ≤ 90°, by angle:
hkl 1 0 2, 2.986 Å, 29.93°, I = 21; hkl 1 1 0, 2.745 Å, 32.62°, I = 27; hkl 1 1 1, 2.584 Å, 34.71°, I = 40; hkl 0 0 3, 2.558 Å, 35.09°, I = 28; hkl 2 0 0, 2.377 Å, 37.85°, I = 44; hkl 2 0 1, 2.271 Å, 39.70°, I = 22; hkl 1 0 3, 2.252 Å, 40.03°, I = 18; hkl 1 1 2, 2.232 Å, 40.41°, I = 100; hkl 3 0 2, 1.465 Å, 63.52°, I = 26; hkl 2 2 0, 1.372 Å, 68.35°, I = 25

---

Record 4
Theoretical powder diffraction line list of PrNdB2Pd6Pt2 for Cu Kα, 1.54184 Å, from a GGA-PBE-relaxed structure.
Lines closer than 0.1° are merged.

Crystal structure
abc: 5.4899 5.4899 7.6543
angles: 90.00 90.00 120.00
Space group P6/mmm (No. 191)
One atom of each set of equivalent atoms:
Pr 0.0000 0.0000 0.0000 (multiplicity 1)
Nd 0.0000 0.0000 0.5000 (multiplicity 1)
B 0.3333 0.6667 0.5000 (multiplicity 2)
Pd 0.0000 0.5000 0.3038 (multiplicity 6)
Pt 0.3333 0.6667 0.0000 (multiplicity 2)

Principal peaks in the range 10° ≤ 2θ ≤ 90°, by angle:
hkl 1 0 2, 2.981 Å, 29.97°, I = 20; hkl 1 1 0, 2.745 Å, 32.62°, I = 27; hkl 1 1 1, 2.584 Å, 34.72°, I = 40; hkl 0 0 3, 2.551 Å, 35.17°, I = 28; hkl 2 0 0, 2.377 Å, 37.85°, I = 45; hkl 2 0 1, 2.270 Å, 39.70°, I = 23; hkl 1 0 3, 2.248 Å, 40.11°, I = 19; hkl 1 1 2, 2.231 Å, 40.44°, I = 100; hkl 3 0 2, 1.464 Å, 63.54°, I = 26; hkl 2 2 0, 1.372 Å, 68.35°, I = 26

---

Record 5
Theoretical powder diffraction line list of NdBPdPt3 for Cu Kα, 1.54184 Å, from a GGA-PBE-relaxed structure.
Lines closer than 0.1° are merged.

Crystal structure
abc: 5.4958 5.4958 7.6871
angles: 90.00 90.00 120.00
Space group P6/mmm (No. 191)
One atom of each set of equivalent atoms:
Nd 0.0000 0.0000 0.0000 (multiplicity 1)
Nd 0.0000 0.0000 0.5000 (multiplicity 1)
B 0.3333 0.6667 0.0000 (multiplicity 2)
Pd 0.3333 0.6667 0.5000 (multiplicity 2)
Pt 0.0000 0.5000 0.1989 (multiplicity 6)

Principal peaks in the range 10° ≤ 2θ ≤ 90°, by angle:
hkl 1 0 2, 2.990 Å, 29.88°, I = 49; hkl 0 0 3, 2.562 Å, 35.02°, I = 31; hkl 2 0 0, 2.380 Å, 37.80°, I = 100; hkl 2 0 1, 2.273 Å, 39.65°, I = 22; hkl 1 1 2, 2.235 Å, 40.35°, I = 65; hkl 2 0 2, 2.023 Å, 44.79°, I = 40; hkl 2 0 3, 1.744 Å, 52.48°, I = 32; hkl 2 2 0, 1.374 Å, 68.26°, I = 28; hkl 2 0 5, 1.291 Å, 73.31°, I = 26; hkl 2 2 3, 1.211 Å, 79.09°, I = 18

---

Record 6
Theoretical powder diffraction line list of NdBPd3Pt for Cu Kα, 1.54184 Å, from a GGA-PBE-relaxed structure.
Lines closer than 0.1° are merged.

Crystal structure
abc: 5.4846 5.4846 7.6587
angles: 90.00 90.00 120.00
Space group P6/mmm (No. 191)
One atom of each set of equivalent atoms:
Nd 0.0000 0.0000 0.0000 (multiplicity 1)
Nd 0.0000 0.0000 0.5000 (multiplicity 1)
B 0.3333 0.6667 0.0000 (multiplicity 2)
Pd 0.0000 0.5000 0.1962 (multiplicity 6)
Pt 0.3333 0.6667 0.5000 (multiplicity 2)

Principal peaks in the range 10° ≤ 2θ ≤ 90°, by angle:
hkl 1 0 2, 2.981 Å, 29.97°, I = 21; hkl 1 1 0, 2.742 Å, 32.65°, I = 27; hkl 1 1 1, 2.582 Å, 34.75°, I = 40; hkl 0 0 3, 2.553 Å, 35.15°, I = 28; hkl 2 0 0, 2.375 Å, 37.88°, I = 45; hkl 2 0 1, 2.268 Å, 39.74°, I = 23; hkl 1 0 3, 2.249 Å, 40.10°, I = 19; hkl 1 1 2, 2.230 Å, 40.46°, I = 100; hkl 3 0 2, 1.463 Å, 63.59°, I = 26; hkl 2 2 0, 1.371 Å, 68.42°, I = 25

---

Record 7
Theoretical powder diffraction line list of PrNdB2Pt8 for Cu Kα, 1.54184 Å, from a GGA-PBE-relaxed structure.
Lines closer than 0.1° are merged.

Crystal structure
abc: 5.5061 5.5061 7.7056
angles: 90.00 90.00 120.00
Space group P6/mmm (No. 191)
One atom of each set of equivalent atoms:
Pr 0.0000 0.0000 0.0000 (multiplicity 1)
Nd 0.0000 0.0000 0.5000 (multiplicity 1)
B 0.3333 0.6667 0.0000 (multiplicity 2)
Pt 0.0000 0.5000 0.1990 (multiplicity 6)
Pt 0.3333 0.6667 0.5000 (multiplicity 2)

Principal peaks in the range 10° ≤ 2θ ≤ 90°, by angle:
hkl 1 0 0, 4.768 Å, 18.61°, I = 31; hkl 1 0 2, 2.997 Å, 29.81°, I = 35; hkl 1 1 1, 2.593 Å, 34.60°, I = 37; hkl 0 0 3, 2.569 Å, 34.93°, I = 43; hkl 2 0 0, 2.384 Å, 37.73°, I = 93; hkl 2 0 1, 2.278 Å, 39.57°, I = 32; hkl 1 1 2, 2.240 Å, 40.26°, I = 100; hkl 2 0 2, 2.027 Å, 44.70°, I = 53; hkl 2 2 0, 1.377 Å, 68.12°, I = 37; hkl 2 0 5, 1.294 Å, 73.12°, I = 32

---

Record 8
Theoretical powder diffraction line list of PrNdB2Pt8 for Cu Kα, 1.54184 Å, from a GGA-PBE-relaxed structure.
Lines closer than 0.1° are merged.

Crystal structure
abc: 5.5032 5.5032 7.7021
angles: 90.00 90.00 120.00
Space group P6/mmm (No. 191)
One atom of each set of equivalent atoms:
Pr 0.0000 0.0000 0.0000 (multiplicity 1)
Nd 0.0000 0.0000 0.5000 (multiplicity 1)
B 0.3333 0.6667 0.5000 (multiplicity 2)
Pt 0.0000 0.5000 0.3011 (multiplicity 6)
Pt 0.3333 0.6667 0.0000 (multiplicity 2)

Principal peaks in the range 10° ≤ 2θ ≤ 90°, by angle:
hkl 1 0 0, 4.766 Å, 18.62°, I = 31; hkl 1 0 2, 2.995 Å, 29.83°, I = 35; hkl 1 1 1, 2.591 Å, 34.62°, I = 36; hkl 0 0 3, 2.567 Å, 34.95°, I = 43; hkl 2 0 0, 2.383 Å, 37.75°, I = 93; hkl 2 0 1, 2.277 Å, 39.59°, I = 32; hkl 1 1 2, 2.239 Å, 40.28°, I = 100; hkl 2 0 2, 2.026 Å, 44.72°, I = 53; hkl 2 2 0, 1.376 Å, 68.16°, I = 37; hkl 2 0 5, 1.294 Å, 73.16°, I = 32

---

> Number 4 is which compound?

PrNdB2Pd6Pt2

---

What did the eighth record say?
Theoretical powder diffraction line list of PrNdB2Pt8 for Cu Kα, 1.54184 Å, from a GGA-PBE-relaxed structure.
Lines closer than 0.1° are merged.

Crystal structure
abc: 5.5032 5.5032 7.7021
angles: 90.00 90.00 120.00
Space group P6/mmm (No. 191)
One atom of each set of equivalent atoms:
Pr 0.0000 0.0000 0.0000 (multiplicity 1)
Nd 0.0000 0.0000 0.5000 (multiplicity 1)
B 0.3333 0.6667 0.5000 (multiplicity 2)
Pt 0.0000 0.5000 0.3011 (multiplicity 6)
Pt 0.3333 0.6667 0.0000 (multiplicity 2)

Principal peaks in the range 10° ≤ 2θ ≤ 90°, by angle:
hkl 1 0 0, 4.766 Å, 18.62°, I = 31; hkl 1 0 2, 2.995 Å, 29.83°, I = 35; hkl 1 1 1, 2.591 Å, 34.62°, I = 36; hkl 0 0 3, 2.567 Å, 34.95°, I = 43; hkl 2 0 0, 2.383 Å, 37.75°, I = 93; hkl 2 0 1, 2.277 Å, 39.59°, I = 32; hkl 1 1 2, 2.239 Å, 40.28°, I = 100; hkl 2 0 2, 2.026 Å, 44.72°, I = 53; hkl 2 2 0, 1.376 Å, 68.16°, I = 37; hkl 2 0 5, 1.294 Å, 73.16°, I = 32